# 1
Computed PXRD pattern
Compound: Pm5Ge3
Radiation: copper Kα
Structure: the PBE geometry in Alexandria
Neutral-atom scattering factors, no anomalous dispersion.

Crystal structure
```
data_Pm5Ge3
_chemical_formula_sum 'Pm10 Ge6'
_cell_length_a 8.7775
_cell_length_b 8.7775
_cell_length_c 6.6602
_cell_angle_alpha 90.00
_cell_angle_beta 90.00
_cell_angle_gamma 120.00
_symmetry_space_group_name_H-M 'P 63/m c m'
_symmetry_Int_Tables_number 193
_symmetry_space_group_name_Hall '-P 6c 2'
loop_
_atom_site_label
_atom_site_type_symbol
_atom_site_fract_x
_atom_site_fract_y
_atom_site_fract_z
_atom_site_occupancy
Pm1 Pm 0.0000 0.2447 0.2500 1
Pm2 Pm 0.3333 0.6667 0.0000 1
Ge1 Ge 0.0000 0.3928 0.7500 1
```

Main lines, by intensity (2θ from 15° to 90°):
two_theta	Rel. int.	index
33.98	100	2 1 1
33.79	91	1 1 2
35.43	43	3 0 0
31.13	39	2 1 0
29.28	32	1 0 2
52.06	30	2 1 3
49.76	24	2 2 2
55.69	21	4 0 2
54.38	14	3 2 1
23.41	14	2 0 0

# 2
Computed PXRD pattern
Compound: Pm3Ge4
Radiation: copper Kα
Structure: the PBE geometry in Alexandria
Neutral-atom scattering factors, no anomalous dispersion.

Crystal structure
```
data_Pm3Ge4
_chemical_formula_sum 'Pm12 Ge16'
_cell_length_a 4.1942
_cell_length_b 10.9696
_cell_length_c 14.5528
_cell_angle_alpha 90.00
_cell_angle_beta 90.00
_cell_angle_gamma 90.00
_symmetry_space_group_name_H-M 'C m c m'
_symmetry_Int_Tables_number 63
_symmetry_space_group_name_Hall '-C 2c 2'
loop_
_atom_site_label
_atom_site_type_symbol
_atom_site_fract_x
_atom_site_fract_y
_atom_site_fract_z
_atom_site_occupancy
Pm1 Pm 0.0000 0.0371 0.2500 1
Pm2 Pm 0.0000 0.3255 0.0969 1
Ge1 Ge 0.0000 0.0000 0.0000 1
Ge2 Ge 0.0000 0.2375 0.7500 1
Ge3 Ge 0.0000 0.3856 0.6087 1
```

Main lines, by intensity (2θ from 15° to 90°):
two_theta	Rel. int.	index
33.62	100	1 1 4
32.49	87	1 3 0
37.53	41	1 3 3
43.14	37	2 0 0
29.30	33	1 1 3
41.22	30	0 4 4
33.24	29	0 4 1
50.11	27	0 0 8
55.50	26	0 4 7
37.07	25	0 0 6

# 3
Computed PXRD pattern
Compound: Pm7Ge3
Radiation: copper Kα
Structure: the PBE geometry in Alexandria
Neutral-atom scattering factors, no anomalous dispersion.

Crystal structure
```
data_Pm7Ge3
_chemical_formula_sum 'Pm14 Ge6'
_cell_length_a 10.3112
_cell_length_b 10.3112
_cell_length_c 6.3277
_cell_angle_alpha 90.00
_cell_angle_beta 90.00
_cell_angle_gamma 120.00
_symmetry_space_group_name_H-M 'P 63 m c'
_symmetry_Int_Tables_number 186
_symmetry_space_group_name_Hall 'P 6c -2c'
loop_
_atom_site_label
_atom_site_type_symbol
_atom_site_fract_x
_atom_site_fract_y
_atom_site_fract_z
_atom_site_occupancy
Pm1 Pm 0.0682 0.5341 0.0000 1
Pm2 Pm 0.1229 0.2459 0.7411 1
Pm3 Pm 0.3333 0.6667 0.5497 1
Ge1 Ge 0.1910 0.3821 0.2920 1
```

Main lines, by intensity (2θ from 15° to 90°):
two_theta	Rel. int.	index
29.99	100	1 0 2
34.77	58	2 2 0
53.28	53	3 3 0
33.26	49	3 0 1
81.33	14	7 1 0
26.41	13	2 1 0
39.04	9	2 1 2
48.91	8	4 1 1
67.11	8	5 2 1
78.73	7	6 2 1

# 4
Computed PXRD pattern
Compound: PmGe4
Radiation: copper Kα
Structure: the PBE geometry in Alexandria
Neutral-atom scattering factors, no anomalous dispersion.

Crystal structure
```
data_PmGe4
_chemical_formula_sum 'Pm1 Ge4'
_cell_length_a 5.4429
_cell_length_b 5.4429
_cell_length_c 5.4429
_cell_angle_alpha 90.00
_cell_angle_beta 90.00
_cell_angle_gamma 90.00
_symmetry_space_group_name_H-M 'P m -3 m'
_symmetry_Int_Tables_number 221
_symmetry_space_group_name_Hall '-P 4 2 3'
loop_
_atom_site_label
_atom_site_type_symbol
_atom_site_fract_x
_atom_site_fract_y
_atom_site_fract_z
_atom_site_occupancy
Pm1 Pm 0.0000 0.0000 0.0000 1
Ge1 Ge 0.0000 0.0000 0.5000 1
Ge2 Ge 0.5000 0.5000 0.5000 1
```

Main lines, by intensity (2θ from 15° to 90°):
two_theta	Rel. int.	index
32.91	100	2 0 0
47.23	72	2 2 0
16.29	60	1 0 0
23.11	53	1 1 0
78.61	32	4 2 0
36.93	31	2 1 0
58.77	25	2 2 2
87.88	24	4 2 2
40.60	24	2 1 1
28.40	24	1 1 1

# 5
Computed PXRD pattern
Compound: Pm5Pr4Ge2
Radiation: copper Kα
Structure: the PBE geometry in Alexandria
Neutral-atom scattering factors, no anomalous dispersion.

Crystal structure
```
data_Pm5Pr4Ge2
_chemical_formula_sum 'Pm15 Pr12 Ge6'
_cell_length_a 4.9960
_cell_length_b 4.9960
_cell_length_c 52.8380
_cell_angle_alpha 90.00
_cell_angle_beta 90.00
_cell_angle_gamma 120.00
_symmetry_space_group_name_H-M 'R -3 m'
_symmetry_Int_Tables_number 166
_symmetry_space_group_name_Hall '-R 3 2"'
loop_
_atom_site_label
_atom_site_type_symbol
_atom_site_fract_x
_atom_site_fract_y
_atom_site_fract_z
_atom_site_occupancy
Pm1 Pm 0.0000 0.0000 0.0000 1
Pm2 Pm 0.0000 0.0000 0.1489 1
Pm3 Pm 0.0000 0.0000 0.3012 1
Pr1 Pr 0.0000 0.0000 0.0707 1
Pr2 Pr 0.0000 0.0000 0.2207 1
Ge1 Ge 0.0000 0.0000 0.3635 1
```

Main lines, by intensity (2θ from 15° to 90°):
two_theta	Rel. int.	index
35.95	100	1 1 0
30.17	90	1 0 13
31.45	84	0 1 14
20.60	37	1 0 1
60.06	31	1 1 27
47.62	25	0 2 13
48.50	25	2 0 14
61.83	24	1 2 14
61.08	24	2 1 13
64.62	18	3 0 0

# 6
Computed PXRD pattern
Compound: Pm3Pr2Ge2
Radiation: copper Kα
Structure: the PBE geometry in Alexandria
Neutral-atom scattering factors, no anomalous dispersion.

Crystal structure
```
data_Pm3Pr2Ge2
_chemical_formula_sum 'Pm6 Pr4 Ge4'
_cell_length_a 12.0633
_cell_length_b 4.3113
_cell_length_c 8.6343
_cell_angle_alpha 90.00
_cell_angle_beta 111.04
_cell_angle_gamma 90.00
_symmetry_space_group_name_H-M 'C 1 2/m 1'
_symmetry_Int_Tables_number 12
loop_
_symmetry_equiv_pos_as_xyz
'x,y,z'
'-x,-y,-z'
'-x,y,-z'
'x,-y,z'
'x+1/2,y+1/2,z'
'-x+1/2,-y+1/2,-z'
'-x+1/2,y+1/2,-z'
'x+1/2,-y+1/2,z'
loop_
_atom_site_label
_atom_site_type_symbol
_atom_site_fract_x
_atom_site_fract_y
_atom_site_fract_z
_atom_site_occupancy
Pm1 Pm 0.0000 0.0000 0.0000 1
Pm2 Pm 0.1307 0.0000 0.4433 1
Pr1 Pr 0.1505 0.5000 0.8068 1
Ge1 Ge 0.1683 0.5000 0.2050 1
```

Main lines, by intensity (2θ from 15° to 90°):
two_theta	Rel. int.	index
33.40	100	1 1 2
30.51	98	3 1 -1
31.60	64	2 0 2
29.28	48	1 1 -2
53.40	40	2 2 2
31.33	39	2 0 -3
41.91	38	0 2 0
57.65	36	7 1 -2
25.98	29	1 1 1
37.80	23	1 1 -3